Starting from a structure optimized by DFT (PBE), the PXRD pattern of LiTmPu2O8 was computed for Cu Ka.
Peak positions follow from Bragg's law for the DFT cell and can differ from measured ones.

Cell and atoms:
abc: 7.1931 7.1931 7.1743
angles: 90.00 90.00 90.00
Space group I-4m2 (No. 119)
Asymmetric unit:
Li1 0.0000 0.0000 0.0000
Tm1 0.0000 0.5000 0.7500
Pu1 0.0000 0.0000 0.5000
Pu2 0.0000 0.5000 0.2500
O1 0.0000 0.1953 0.6909
O2 0.0000 0.3230 0.0433

Main lines, in order of rising 2θ (10° ≤ 2θ ≤ 90°):
d/Å, Position (°2θ), I/Imax, index
5.081, 17.5, 51, 1 0 1
3.596, 24.8, 74, 2 0 0
2.933, 30.5, 100, 1 1 2
2.543, 35.3, 24, 2 2 0
1.921, 47.3, 67, 3 1 2
1.533, 60.4, 20, 3 3 2